The following is a computed X-ray diffraction stick pattern of Li4MnCo5O12. It was derived from DFT lattice parameters and positions (PBE+U), using Cu Kα, 1.54184 Å.

Top 8 peaks for 5° ≤ 2θ ≤ 70°, by angle:
2θ (°)	I (rel.)
17.99	100
36.64	9
36.97	15
38.95	14
43.75	17
48.79	15
56.77	12
64.86	10

Structure:
a b c (Å): 4.9122 4.9122 10.1010
angles (deg): 96.32 96.32 118.51
Atoms (fractional coordinates):
Li: 0.1027 0.7611 0.7488
Li: 0.2389 0.8973 0.2512
Li: 0.7611 0.1027 0.7488
Li: 0.8973 0.2389 0.2512
Mn: 0.0000 0.0000 0.5000
Co: 0.1666 0.8334 0.0000
Co: 0.3336 0.6664 0.5000
Co: 0.5000 0.5000 0.0000
Co: 0.6664 0.3336 0.5000
Co: 0.8334 0.1666 0.0000
O: 0.0147 0.3553 0.6110
O: 0.1250 0.1250 0.8987
O: 0.2077 0.5405 0.1001
O: 0.2830 0.2830 0.3976
O: 0.3553 0.0147 0.6110
O: 0.4595 0.7923 0.8999
O: 0.5405 0.2077 0.1001
O: 0.6447 0.9853 0.3890
O: 0.7170 0.7170 0.6024
O: 0.7923 0.4595 0.8999
O: 0.8750 0.8750 0.1013
O: 0.9853 0.6447 0.3890